Starting from the GGA-PBE geometry in the Materials Project, the PXRD pattern of MgTi3CuO8 was computed for Cu Ka.
Lines closer than 0.1° are merged.

Top 10 peaks for 5 to 70 degrees two-theta, sorted by position:
24.67°, I = 100
35.89°, I = 13
36.63°, I = 20
37.55°, I = 15
46.75°, I = 21
46.87°, I = 21
52.24°, I = 20
53.61°, I = 20
60.86°, I = 14
68.36°, I = 11

Crystal structure
```
data_MgTi3CuO8
_chemical_formula_sum 'Mg1 Ti3 Cu1 O8'
_symmetry_space_group_name_H-M 'P m m 2'
_symmetry_Int_Tables_number 25
_symmetry_space_group_name_Hall 'P 2 -2'
_cell_length_a 3.8771
_cell_length_b 3.8859
_cell_length_c 9.8124
_cell_angle_alpha 90.00
_cell_angle_beta 90.00
_cell_angle_gamma 90.00
loop_
_atom_site_label
_atom_site_type_symbol
_atom_site_fract_x
_atom_site_fract_y
_atom_site_fract_z
Mg1 Mg 0.0000 0.0000 0.0000
Ti1 Ti 0.0000 0.0000 0.4103
Ti2 Ti 0.5000 0.0000 0.6457
Ti3 Ti 0.5000 0.5000 0.8988
Cu1 Cu 0.0000 0.5000 0.1972
O1 O 0.0000 0.0000 0.2091
O2 O 0.0000 0.0000 0.6208
O3 O 0.0000 0.5000 0.3979
O4 O 0.0000 0.5000 0.9156
O5 O 0.5000 0.0000 0.4543
O6 O 0.5000 0.0000 0.8794
O7 O 0.5000 0.5000 0.0901
O8 O 0.5000 0.5000 0.6934
```